No. 1
The following is a theoretical PXRD pattern of Ti3N4. It was derived from a structure optimized by DFT (PBE), using Cu Ka.
Kinematic intensities with the Lorentz-polarization factor, no thermal factor.

Main lines, by angle (2θ = 10–90°):
d_spacing, 2θ/deg, I_rel
4.809, 18.45, 92.2
4.267, 20.82, 36.7
3.192, 27.95, 84.6
2.911, 30.72, 94.6
2.794, 32.04, 100.0
2.556, 35.11, 77.1
2.405, 37.40, 50.0
2.296, 39.24, 45.3
1.638, 56.15, 29.5
1.563, 59.11, 34.7

Atomic structure:
```
28
Lattice="8.535 0.000 0.000 -4.267 7.391 0.000 0.000 0.000 6.333" Properties=species:S:1:pos:R:3 pbc="T T T"
Ti -2.837 6.110 0.000
Ti -1.430 3.733 4.518
Ti 0.395 1.879 0.000
Ti 1.430 1.281 3.167
Ti -0.319 6.763 4.518
Ti 1.749 4.286 4.518
Ti 3.948 0.628 1.351
Ti 2.837 3.658 1.351
Ti 2.443 6.793 0.000
Ti 6.710 0.598 3.167
Ti 6.017 3.105 1.351
Ti 4.662 5.512 3.167
N 0.000 0.000 3.103
N 0.000 0.000 6.269
N -2.808 5.058 4.737
N -1.256 2.839 6.235
N 1.291 2.430 4.737
N 1.459 2.333 1.571
N 0.000 4.927 4.105
N -1.181 7.059 6.235
N 3.086 0.332 3.069
N 2.437 4.884 6.235
N 3.012 4.552 3.069
N 4.267 2.464 0.938
N 1.517 7.294 4.737
N 5.785 0.097 1.571
N 6.704 2.507 3.069
N 5.558 4.961 1.571
```

---

No. 2
The following is a theoretical PXRD pattern of Ti3N4. It was derived from a structure optimized by DFT (PBE), using Cu Ka.
Kinematic intensities with the Lorentz-polarization factor, no thermal factor.

Main lines, by angle (2θ = 10–90°):
d_spacing, 2θ/deg, I_rel
4.205, 21.13, 22.6
3.729, 23.86, 72.5
2.942, 30.38, 17.5
2.411, 37.30, 68.5
2.102, 43.02, 51.4
2.080, 43.50, 100.0
1.479, 62.84, 55.2
1.471, 63.21, 27.3
1.256, 75.75, 18.0
1.205, 79.52, 25.4

Atomic structure:
```
14
Lattice="4.161 0.000 0.000 0.000 4.161 0.000 0.000 0.000 8.409" Properties=species:S:1:pos:R:3 pbc="T T T"
Ti 0.000 0.000 0.000
Ti 0.000 2.080 2.102
Ti 0.000 2.080 6.307
Ti 2.080 0.000 2.102
Ti 2.080 0.000 6.307
Ti 2.080 2.080 4.205
N 0.000 0.000 2.013
N 0.000 0.000 6.397
N 0.000 2.080 0.000
N 0.000 2.080 4.205
N 2.080 0.000 0.000
N 2.080 0.000 4.205
N 2.080 2.080 2.192
N 2.080 2.080 6.217
```

---

No. 3
The following is a theoretical PXRD pattern of Ti3N. It was derived from a structure optimized by DFT (PBE), using Cu Ka.
Kinematic intensities with the Lorentz-polarization factor, no thermal factor.

Main lines, by angle (2θ = 10–90°):
d_spacing, 2θ/deg, I_rel
4.329, 20.52, 8.1
3.237, 27.56, 15.6
2.468, 36.41, 3.8
2.224, 40.56, 5.6
2.165, 41.73, 25.8
2.144, 42.15, 100.0
1.745, 52.44, 24.4
1.358, 69.15, 19.2
1.246, 76.47, 14.0
1.234, 77.34, 6.7

Atomic structure:
```
8
Lattice="3.490 0.000 0.000 0.000 3.490 0.000 0.000 0.000 8.658" Properties=species:S:1:pos:R:3 pbc="T T T"
Ti 0.000 0.000 0.000
Ti 0.000 1.745 2.165
Ti 0.000 1.745 6.494
Ti 1.745 0.000 2.165
Ti 1.745 0.000 6.494
Ti 1.745 1.745 4.329
N 0.000 0.000 4.329
N 1.745 1.745 0.000
```

---

No. 4
The following is a theoretical PXRD pattern of Ti8N5. It was derived from a structure optimized by DFT (PBE), using Cu Ka.
Kinematic intensities with the Lorentz-polarization factor, no thermal factor.

Main lines, by angle (2θ = 10–90°):
d_spacing, 2θ/deg, I_rel
3.775, 23.56, 10.3
2.445, 36.76, 100.0
2.151, 42.00, 31.9
2.101, 43.06, 63.8
1.593, 57.90, 3.8
1.503, 61.72, 34.7
1.485, 62.53, 18.0
1.292, 73.29, 9.4
1.269, 74.79, 25.6
1.222, 78.20, 16.0

Atomic structure:
```
13
Lattice="4.201 0.000 0.000 0.000 4.201 0.000 0.000 0.000 8.606" Properties=species:S:1:pos:R:3 pbc="T T T"
Ti 0.000 0.000 2.074
Ti 0.000 0.000 6.532
Ti 0.000 2.101 4.428
Ti 0.000 2.101 8.463
Ti 2.101 0.000 0.143
Ti 2.101 0.000 4.178
Ti 2.101 2.101 2.203
Ti 2.101 2.101 6.403
N 0.000 0.000 0.000
N 0.000 2.101 6.455
N 2.101 0.000 2.151
N 2.101 2.101 0.000
N 2.101 2.101 4.303
```

---

No. 5
The following is a theoretical PXRD pattern of Ti3N. It was derived from a structure optimized by DFT (PBE), using Cu Ka.
Kinematic intensities with the Lorentz-polarization factor, no thermal factor.

Main lines, by angle (2θ = 10–90°):
d_spacing, 2θ/deg, I_rel
3.697, 24.07, 16.6
2.614, 34.30, 13.4
2.134, 42.35, 100.0
1.848, 49.30, 45.7
1.653, 55.59, 6.6
1.509, 61.43, 4.9
1.307, 72.29, 25.3
1.232, 77.45, 3.0
1.169, 82.51, 2.0
1.115, 87.52, 29.4

Atomic structure:
```
4
Lattice="3.697 0.000 0.000 0.000 3.697 0.000 0.000 0.000 3.697" Properties=species:S:1:pos:R:3 pbc="T T T"
Ti 0.000 0.000 1.848
Ti 0.000 1.848 0.000
Ti 1.848 0.000 0.000
N 1.848 1.848 1.848
```

---

No. 6
The following is a theoretical PXRD pattern of TiVN2. It was derived from a structure optimized by DFT (PBE), using Cu Ka.
Kinematic intensities with the Lorentz-polarization factor, no thermal factor.

Main lines, by angle (2θ = 10–90°):
d_spacing, 2θ/deg, I_rel
2.420, 37.15, 52.9
2.409, 37.33, 17.4
2.093, 43.22, 100.0
1.483, 62.65, 27.9
1.478, 62.89, 27.6
1.264, 75.14, 6.4
1.263, 75.25, 12.8
1.260, 75.47, 6.4
1.210, 79.15, 13.0
1.205, 79.58, 4.3

Atomic structure:
```
12
Lattice="2.966 0.000 0.000 -1.483 2.568 0.000 0.000 0.000 14.455" Properties=species:S:1:pos:R:3 pbc="T T T"
Ti 0.000 0.000 0.000
Ti 0.000 1.712 9.637
Ti 1.483 0.856 4.818
V 0.000 0.000 7.227
V 0.000 1.712 2.409
V 1.483 0.856 12.046
N 0.000 0.000 3.598
N 0.000 0.000 10.857
N 0.000 1.712 6.039
N 0.000 1.712 13.234
N 1.483 0.856 1.221
N 1.483 0.856 8.416
```

---

No. 7
The following is a theoretical PXRD pattern of TiV4N4. It was derived from a structure optimized by DFT (PBE), using Cu Ka.
Kinematic intensities with the Lorentz-polarization factor, no thermal factor.

Main lines, by angle (2θ = 10–90°):
d_spacing, 2θ/deg, I_rel
2.456, 36.59, 88.8
2.445, 36.77, 80.3
2.390, 37.64, 89.6
2.350, 38.30, 90.3
2.111, 42.85, 94.2
2.082, 43.46, 100.0
2.066, 43.81, 91.9
1.489, 62.34, 31.2
1.479, 62.85, 31.8
1.475, 63.02, 32.1

Atomic structure:
```
18
Lattice="5.023 0.000 0.000 1.800 4.780 0.000 1.020 2.278 7.576" Properties=species:S:1:pos:R:3 pbc="T T T"
Ti 2.138 2.347 2.122
Ti 5.705 4.711 5.454
V 3.135 4.755 6.848
V 3.029 4.806 0.757
V 2.211 2.208 5.524
V 3.170 4.737 3.727
V 4.673 2.320 3.848
V 5.632 4.850 2.052
V 4.814 2.251 6.818
V 4.708 2.303 0.727
N 1.501 3.469 6.826
N 2.371 5.861 5.213
N 2.788 2.855 3.864
N 2.959 1.190 0.659
N 4.884 5.867 6.917
N 5.055 4.203 3.711
N 5.472 1.196 2.363
N 6.342 3.589 0.750
```

---

No. 8
The following is a theoretical PXRD pattern of Ti2ZnN. It was derived from a structure optimized by DFT (PBE), using Cu Ka.
Kinematic intensities with the Lorentz-polarization factor, no thermal factor.

Main lines, by angle (2θ = 10–90°):
d_spacing, 2θ/deg, I_rel
2.938, 30.42, 26.1
2.407, 37.36, 71.3
2.294, 39.28, 100.0
2.224, 40.57, 32.5
2.211, 40.82, 57.6
2.097, 43.14, 54.5
1.956, 46.43, 25.3
1.846, 49.38, 22.7
1.521, 60.89, 30.7
1.251, 76.06, 28.9

Atomic structure:
```
16
Lattice="2.987 0.000 0.000 0.000 16.437 0.000 0.000 0.000 4.194" Properties=species:S:1:pos:R:3 pbc="T T T"
Ti 0.000 1.856 1.048
Ti 0.000 4.739 1.048
Ti 0.000 11.698 3.145
Ti 0.000 14.581 3.145
Ti 1.493 3.479 3.145
Ti 1.493 6.363 3.145
Ti 1.493 10.074 1.048
Ti 1.493 12.958 1.048
Zn 0.000 7.539 1.048
Zn 0.000 8.898 3.145
Zn 1.493 0.679 3.145
Zn 1.493 15.758 1.048
N 0.000 4.931 3.145
N 0.000 11.506 1.048
N 1.493 3.288 1.048
N 1.493 13.150 3.145
```

---

No. 9
The following is a theoretical PXRD pattern of TiZn4N4. It was derived from a structure optimized by DFT (PBE), using Cu Ka.
Kinematic intensities with the Lorentz-polarization factor, no thermal factor.

Main lines, by angle (2θ = 10–90°):
d_spacing, 2θ/deg, I_rel
3.028, 29.50, 25.7
2.620, 34.22, 73.3
2.580, 34.78, 100.0
2.576, 34.82, 59.2
2.544, 35.28, 50.3
2.276, 39.59, 71.0
2.268, 39.75, 59.7
2.163, 41.77, 45.7
1.605, 57.43, 23.8
1.586, 58.16, 23.1

Atomic structure:
```
18
Lattice="5.496 0.000 0.000 1.910 5.243 0.000 1.265 2.354 7.753" Properties=species:S:1:pos:R:3 pbc="T T T"
Ti 1.651 1.189 1.734
Ti 7.021 6.408 6.019
Zn 2.724 3.494 6.245
Zn 2.997 3.962 3.437
Zn 2.154 1.445 4.412
Zn 4.170 6.005 7.494
Zn 4.501 1.591 0.259
Zn 6.517 6.152 3.341
Zn 5.675 3.635 4.316
Zn 5.947 4.103 1.508
N 1.455 2.780 2.813
N 1.373 1.933 6.195
N 2.495 1.697 0.067
N 4.535 5.212 3.003
N 4.137 2.385 4.749
N 6.177 5.900 7.686
N 7.299 5.664 1.558
N 7.217 4.817 4.939
```

---

No. 10
The following is a theoretical PXRD pattern of TiZn2N2. It was derived from a structure optimized by DFT (PBE), using Cu Ka.
Kinematic intensities with the Lorentz-polarization factor, no thermal factor.

Main lines, by angle (2θ = 10–90°):
d_spacing, 2θ/deg, I_rel
2.507, 35.81, 100.0
2.476, 36.29, 96.1
2.368, 38.01, 66.8
2.163, 41.75, 60.3
1.991, 45.57, 41.4
1.597, 57.73, 35.4
1.538, 60.15, 14.0
1.509, 61.43, 12.8
1.465, 63.51, 27.9
1.254, 75.89, 13.2

Atomic structure:
```
10
Lattice="5.173 -2.163 0.000 5.173 2.163 0.000 -2.768 0.000 5.467" Properties=species:S:1:pos:R:3 pbc="T T T"
Ti 1.285 0.000 0.630
Ti 6.292 0.000 4.837
Zn 0.138 0.000 3.313
Zn 4.303 0.000 1.336
Zn 3.275 0.000 4.132
Zn 7.439 0.000 2.155
N -0.518 0.000 1.290
N 2.364 0.000 2.193
N 5.214 0.000 3.274
N 8.096 0.000 4.177
```

---

No. 11
The following is a theoretical PXRD pattern of Ti3Zn3N. It was derived from a structure optimized by DFT (PBE), using Cu Ka.
Kinematic intensities with the Lorentz-polarization factor, no thermal factor.

Main lines, by angle (2θ = 10–90°):
d_spacing, 2θ/deg, I_rel
6.647, 13.32, 15.2
2.878, 31.07, 8.9
2.350, 38.30, 25.1
2.216, 40.72, 100.0
2.035, 44.51, 24.5
1.946, 46.67, 8.5
1.919, 47.37, 14.1
1.357, 69.24, 25.6
1.157, 83.55, 18.5
1.108, 88.19, 8.3

Atomic structure:
```
28
Lattice="0.000 5.757 5.757 5.757 0.000 5.757 5.757 5.757 0.000" Properties=species:S:1:pos:R:3 pbc="T T T"
Ti 4.318 4.318 0.617
Ti 4.318 0.617 4.318
Ti 8.019 4.318 4.318
Ti 7.196 7.196 3.495
Ti 7.196 3.495 7.196
Ti 10.897 7.196 7.196
Ti 0.617 4.318 4.318
Ti 4.318 8.019 4.318
Ti 4.318 4.318 8.019
Ti 3.495 7.196 7.196
Ti 7.196 10.897 7.196
Ti 7.196 7.196 10.897
Zn 5.757 2.878 2.878
Zn 3.337 3.337 3.337
Zn 5.298 5.298 3.337
Zn 5.298 3.337 5.298
Zn 8.176 6.216 6.216
Zn 2.878 5.757 2.878
Zn 2.878 2.878 5.757
Zn 5.757 5.757 5.757
Zn 3.337 5.298 5.298
Zn 6.216 8.176 6.216
Zn 6.216 6.216 8.176
Zn 8.176 8.176 8.176
N 0.000 0.000 0.000
N 2.878 2.878 0.000
N 2.878 0.000 2.878
N 0.000 2.878 2.878
```

---

No. 12
The following is a theoretical PXRD pattern of ZrTiN2. It was derived from a structure optimized by DFT (PBE), using Cu Ka.
Kinematic intensities with the Lorentz-polarization factor, no thermal factor.

Main lines, by angle (2θ = 10–90°):
d_spacing, 2θ/deg, I_rel
5.118, 17.33, 18.2
2.684, 33.38, 13.8
2.569, 34.93, 72.1
2.559, 35.07, 24.1
2.223, 40.59, 100.0
1.574, 58.66, 30.6
1.569, 58.84, 29.9
1.341, 70.18, 28.8
1.338, 70.37, 9.7
1.284, 73.77, 14.5

Atomic structure:
```
12
Lattice="3.148 0.000 0.000 -1.574 2.726 0.000 0.000 0.000 15.354" Properties=species:S:1:pos:R:3 pbc="T T T"
Zr 0.000 0.000 0.000
Zr 0.000 1.817 10.236
Zr 1.574 0.909 5.118
Ti 0.000 0.000 7.677
Ti 0.000 1.817 2.559
Ti 1.574 0.909 12.795
N 0.000 0.000 3.741
N 0.000 0.000 11.613
N 0.000 1.817 6.495
N 0.000 1.817 13.978
N 1.574 0.909 1.377
N 1.574 0.909 8.860
```

---

No. 13
The following is a theoretical PXRD pattern of ZrTiN2. It was derived from a structure optimized by DFT (PBE), using Cu Ka.
Kinematic intensities with the Lorentz-polarization factor, no thermal factor.

Main lines, by angle (2θ = 10–90°):
d_spacing, 2θ/deg, I_rel
4.460, 19.91, 15.5
3.159, 28.25, 13.3
2.578, 34.80, 95.2
2.232, 40.41, 100.0
1.997, 45.41, 7.5
1.822, 50.07, 5.7
1.578, 58.47, 60.7
1.346, 69.88, 37.9
1.289, 73.48, 19.2
1.117, 87.31, 6.1

Atomic structure:
```
4
Lattice="3.159 0.000 0.000 0.000 3.159 0.000 0.000 0.000 4.460" Properties=species:S:1:pos:R:3 pbc="T T T"
Zr 0.000 0.000 0.000
Ti 1.579 1.579 2.230
N 0.000 0.000 2.230
N 1.579 1.579 0.000
```